Starting from a PBE-relaxed structure, the powder XRD pattern of FeCuGe2 was calculated for Cu Kα (λ = 1.5418 Å).
Intensities are scaled so that the largest is 100.

Largest 10 diffraction maxima, by angle, 5° ≤ 2θ ≤ 70°:
- 10.66 deg, d 8.298, intensity 13, (0 0 3)
- 32.36 deg, d 2.766, intensity 15, (0 0 9)
- 36.06 deg, d 2.491, intensity 56, (1 0 1)
- 36.61 deg, d 2.454, intensity 100, (0 1 2)
- 40.32 deg, d 2.237, intensity 44, (0 1 5)
- 43.63 deg, d 2.075, intensity 29, (0 0 12)
- 46.56 deg, d 1.951, intensity 29, (0 1 8)
- 51.79 deg, d 1.765, intensity 79, (1 0 10)
- 54.67 deg, d 1.679, intensity 22, (0 1 11)
- 64.46 deg, d 1.445, intensity 41, (1 1 0)

Atomic structure:
Cell: 2.8909 2.8909 24.8954 Å, 90.00 90.00 120.00°
Space group R-3m (No. 166, hexagonal axes)
One atom of each set of equivalent atoms:
Fe1 0.0000 0.0000 0.0000 [3 per cell]
Cu1 0.0000 0.0000 0.5000 [3 per cell]
Ge1 0.0000 0.0000 0.4046 [6 per cell]

---

Starting from a PBE-relaxed structure, the powder XRD pattern of Ca2Ac2Sn3 was calculated for Cu Kα (λ = 1.5418 Å).
Intensities are scaled so that the largest is 100.

Largest 10 diffraction maxima, by angle, 5° ≤ 2θ ≤ 70°:
- 16.96 deg, d 5.228, intensity 33, (1 1 0)
- 22.92 deg, d 3.880, intensity 29, (1 3 -1)
- 31.65 deg, d 2.827, intensity 100, (0 4 1)
- 32.49 deg, d 2.756, intensity 22, (2 0 0)
- 32.72 deg, d 2.737, intensity 22, (2 0 -2)
- 37.08 deg, d 2.425, intensity 10, (3 1 -2)
- 40.14 deg, d 2.246, intensity 13, (1 3 1)
- 55.68 deg, d 1.651, intensity 10, (2 8 0)
- 57.43 deg, d 1.605, intensity 18, (2 4 1)
- 57.73 deg, d 1.597, intensity 18, (4 4 -3)

Atomic structure:
Cell: 7.7639 16.4921 5.4734 Å, 90.00 134.77 90.00°
Space group C2/m (No. 12)
One atom of each set of equivalent atoms:
Ca1 0.0000 0.1214 0.0000 [4 per cell]
Ac1 0.0000 0.3719 0.0000 [4 per cell]
Sn1 0.0000 0.2447 0.5000 [4 per cell]
Sn2 0.0000 0.5000 0.5000 [2 per cell]